Entry 1:
This entry pairs a crystal structure of Y4Ta2Si3N3 with its simulated powder diffractogram. Radiation: Cu Kα (λ = 1.5418 Å). Structure: a GGA-PBE-relaxed structure.

Principal peaks in the range 5 to 70 degrees two-theta, sorted by position:
d 6.743, 13.13°, I = 41, hkl 0 0 2
d 2.913, 30.69°, I = 25, hkl 3 1 -1
d 2.853, 31.35°, I = 32, hkl 3 1 -2
d 2.451, 36.66°, I = 52, hkl 0 2 3
d 2.445, 36.76°, I = 100, hkl 3 1 -4
d 1.686, 54.42°, I = 23, hkl 3 3 -1

Atomic structure:
```
data_Y4Ta2Si3N3
_chemical_formula_sum 'Y16 Ta8 Si12 N12'
_symmetry_space_group_name_H-M 'C 1 2/c 1'
_symmetry_Int_Tables_number 15
_cell_length_a 10.080
_cell_length_b 5.848
_cell_length_c 13.908
_cell_angle_alpha 90.00
_cell_angle_beta 104.14
_cell_angle_gamma 90.00
loop_
_symmetry_equiv_pos_as_xyz
'x,y,z'
'-x,-y,-z'
'-x,y,-z+1/2'
'x,-y,z+1/2'
'x+1/2,y+1/2,z'
'-x+1/2,-y+1/2,-z'
'-x+1/2,y+1/2,-z+1/2'
'x+1/2,-y+1/2,z+1/2'
loop_
_atom_site_label
_atom_site_fract_x
_atom_site_fract_y
_atom_site_fract_z
Y1 0.118 0.078 0.105
Y2 0.212 0.088 0.395
Ta1 0.061 0.412 0.921
Si1 0.000 0.171 0.750
Si2 0.123 0.464 0.248
N1 0.079 0.264 0.500
N2 0.250 0.250 0.000
```

***

Entry 2:
This entry pairs a crystal structure of Y4ZnSiN2 with its simulated powder diffractogram. Radiation: Cu Kα (λ = 1.5418 Å). Structure: a GGA-PBE-relaxed structure.

Principal peaks in the range 5 to 70 degrees two-theta, sorted by position:
d 3.037, 29.41°, I = 22, hkl 1 0 0
d 2.573, 34.86°, I = 100, hkl 1 0 3
d 2.422, 37.12°, I = 15, hkl 0 0 6
d 1.754, 52.16°, I = 23, hkl 1 1 0
d 1.449, 64.28°, I = 16, hkl 2 0 3
d 1.420, 65.74°, I = 16, hkl 1 1 6

Atomic structure:
```
data_Y4ZnSiN2
_chemical_formula_sum 'Y4 Zn1 Si1 N2'
_symmetry_space_group_name_H-M 'P -6 m 2'
_symmetry_Int_Tables_number 187
_symmetry_space_group_name_Hall 'P -6 2'
_cell_length_a 3.5073
_cell_length_b 3.5073
_cell_length_c 14.5315
_cell_angle_alpha 90.00
_cell_angle_beta 90.00
_cell_angle_gamma 120.00
loop_
_atom_site_label
_atom_site_fract_x
_atom_site_fract_y
_atom_site_fract_z
Y1 0.0000 0.0000 0.1536
Y2 0.3333 0.6667 0.3412
Zn1 0.0000 0.0000 0.5000
Si1 0.3333 0.6667 0.0000
N1 0.6667 0.3333 0.2452
```

***

Entry 3:
This entry pairs a crystal structure of Sm2N with its simulated powder diffractogram. Radiation: Cu Kα (λ = 1.5418 Å). Structure: a GGA-PBE-relaxed structure.

Principal peaks in the range 5 to 70 degrees two-theta, sorted by position:
d 4.761, 18.64°, I = 100, hkl 1 1 1
d 2.486, 36.13°, I = 75, hkl 3 1 1
d 2.380, 37.79°, I = 78, hkl 2 2 2
d 2.061, 43.92°, I = 35, hkl 4 0 0
d 1.892, 48.10°, I = 26, hkl 3 3 1
d 1.458, 63.86°, I = 27, hkl 4 4 0

Atomic structure:
abc: 8.246 8.246 8.246
angles: 90.00 90.00 90.00
Space group Fd-3m (No. 227, origin choice 2)
Asymmetric unit:
Sm  0.000  0.000  0.000 x16
N  0.125  0.125  0.625 x8

***

Entry 4:
This entry pairs a crystal structure of SmTeN3 with its simulated powder diffractogram. Radiation: Cu Kα (λ = 1.5418 Å). Structure: a GGA-PBE-relaxed structure.

Principal peaks in the range 5 to 70 degrees two-theta, sorted by position:
d 3.795, 23.44°, I = 29, hkl 1 0 1
d 3.700, 24.05°, I = 38, hkl 0 0 2
d 3.170, 28.15°, I = 100, hkl 1 1 -1
d 2.745, 32.62°, I = 26, hkl 2 0 0
d 2.716, 32.97°, I = 38, hkl 1 1 1
d 2.681, 33.42°, I = 32, hkl 0 1 2

Atomic structure:
```
data_SmTeN3
_chemical_formula_sum 'Sm2 Te2 N6'
_symmetry_space_group_name_H-M 'P 1 21/m 1'
_symmetry_Int_Tables_number 11
_cell_length_a 5.899
_cell_length_b 3.890
_cell_length_c 7.951
_cell_angle_alpha 90.00
_cell_angle_beta 111.44
_cell_angle_gamma 90.00
loop_
_symmetry_equiv_pos_as_xyz
'x,y,z'
'-x,-y,-z'
'-x,y+1/2,-z'
'x,-y+1/2,z'
loop_
_atom_site_label
_atom_site_fract_x
_atom_site_fract_y
_atom_site_fract_z
Sm1 0.049 0.250 0.314
Te1 0.487 0.250 0.826
N1 0.176 0.250 0.626
N2 0.226 0.750 0.229
N3 0.406 0.750 0.892
```

***

Entry 5:
This entry pairs a crystal structure of SmY2N3 with its simulated powder diffractogram. Radiation: Cu Kα (λ = 1.5418 Å). Structure: a GGA-PBE-relaxed structure.

Principal peaks in the range 5 to 70 degrees two-theta, sorted by position:
d 8.562, 10.33°, I = 10, hkl 0 0 1
d 2.855, 31.33°, I = 100, hkl 0 1 1
d 2.473, 36.33°, I = 82, hkl 1 0 2
d 1.748, 52.33°, I = 54, hkl 1 1 0
d 1.491, 62.27°, I = 43, hkl 2 0 1
d 1.428, 65.37°, I = 18, hkl 0 2 2

Atomic structure:
```
data_SmY2N3
_chemical_formula_sum 'Sm1 Y2 N3'
_symmetry_space_group_name_H-M 'P -3 m 1'
_symmetry_Int_Tables_number 164
_symmetry_space_group_name_Hall '-P 3 2"'
_cell_length_a 3.4974
_cell_length_b 3.4974
_cell_length_c 8.5619
_cell_angle_alpha 90.00
_cell_angle_beta 90.00
_cell_angle_gamma 120.00
loop_
_atom_site_label
_atom_site_fract_x
_atom_site_fract_y
_atom_site_fract_z
Sm1 0.0000 0.0000 0.0000
Y1 0.3333 0.6667 0.3362
N1 0.0000 0.0000 0.5000
N2 0.3333 0.6667 0.8277
```

***

Entry 6:
This entry pairs a crystal structure of Y4Sn3W2N3 with its simulated powder diffractogram. Radiation: Cu Kα (λ = 1.5418 Å). Structure: a GGA-PBE-relaxed structure.

Principal peaks in the range 5 to 70 degrees two-theta, sorted by position:
d 2.972, 30.07°, I = 34, hkl 0 2 0
d 2.521, 35.61°, I = 100, hkl 3 1 2
d 2.513, 35.72°, I = 50, hkl 3 1 -4
d 2.373, 37.92°, I = 30, hkl 0 0 6
d 1.856, 49.09°, I = 16, hkl 0 2 6
d 1.716, 53.41°, I = 31, hkl 6 0 -2

Atomic structure:
```
data_Y4Sn3W2N3
_chemical_formula_sum 'Y16 Sn12 W8 N12'
_symmetry_space_group_name_H-M 'C 1 2/c 1'
_symmetry_Int_Tables_number 15
_cell_length_a 10.282
_cell_length_b 5.950
_cell_length_c 14.630
_cell_angle_alpha 90.00
_cell_angle_beta 103.31
_cell_angle_gamma 90.00
loop_
_symmetry_equiv_pos_as_xyz
'x,y,z'
'-x,-y,-z'
'-x,y,-z+1/2'
'x,-y,z+1/2'
'x+1/2,y+1/2,z'
'-x+1/2,-y+1/2,-z'
'-x+1/2,y+1/2,-z+1/2'
'x+1/2,-y+1/2,z+1/2'
loop_
_atom_site_label
_atom_site_fract_x
_atom_site_fract_y
_atom_site_fract_z
Y1 0.115 0.084 0.091
Y2 0.219 0.080 0.409
Sn1 0.000 0.127 0.750
Sn2 0.146 0.439 0.250
W1 0.054 0.422 0.924
N1 0.080 0.259 0.500
N2 0.250 0.250 0.000
```